Starting from a DFT-relaxed cell (GGA-PBE, Alexandria), the X-ray powder pattern of K8Pt3O8 was simulated for Cu Kα (weighted mean of Kα1 and Kα2).
Kinematic intensities with the Lorentz-polarization factor, no thermal factor.

Most intense lines, 15° ≤ 2θ ≤ 90°, by angle:
index  2θ (°)  I (rel.)
2 0 1  17.00  50.3
4 0 -1  18.42  45.8
1 1 -1  19.48  100.0
3 1 0  21.36  64.7
6 0 0  28.07  34.9
1 1 2  29.90  46.7
5 1 -2  31.60  44.3
0 2 0  32.53  50.8
5 1 1  33.64  21.4
2 2 1  36.89  21.9

Cell: 20.166 5.506 8.152 Å, 90.00 109.06 90.00°
Space group C2/m (No. 12)
Unique sites:
K  0.020  0.000  0.246 x4
K  0.112  0.500  0.942 x4
K  0.165  0.500  0.464 x4
K  0.202  0.000  0.801 x4
Pt  0.000  0.500  0.500 x2
Pt  0.182  0.000  0.214 x4
O  0.020  0.500  0.290 x4
O  0.112  0.000  0.985 x4
O  0.171  0.000  0.437 x4
O  0.232  0.500  0.842 x4


Starting from a DFT-relaxed cell (GGA-PBE, Alexandria), the X-ray powder pattern of Tl2FePb was simulated for Cu Kα (weighted mean of Kα1 and Kα2).
Kinematic intensities with the Lorentz-polarization factor, no thermal factor.

Most intense lines, 15° ≤ 2θ ≤ 90°, by angle:
index  2θ (°)  I (rel.)
0 0 3  28.79  57.9
1 1 2  33.38  100.0
0 2 0  36.24  26.8
2 0 0  41.13  19.0
0 2 3  46.91  13.7
2 2 0  55.96  15.5
1 1 5  56.84  19.5
1 3 2  63.37  16.0
2 2 3  64.13  11.1
3 1 2  70.05  16.2

Cell: 4.389 4.958 9.308 Å, 90.00 90.00 90.00°
Space group Cmm2 (No. 35)
Unique sites:
Tl  0.000  0.000  0.000 x2
Tl  0.000  0.500  0.288 x2
Fe  0.000  0.000  0.482 x2
Pb  0.000  0.500  0.682 x2


Starting from a DFT-relaxed cell (GGA-PBE, Alexandria), the X-ray powder pattern of NdErPuO6 was simulated for Cu Kα (weighted mean of Kα1 and Kα2).
Kinematic intensities with the Lorentz-polarization factor, no thermal factor.

Most intense lines, 15° ≤ 2θ ≤ 90°, by angle:
index  2θ (°)  I (rel.)
0 0 2  18.09  22.8
1 0 2  25.52  100.0
1 1 0  31.18  61.4
1 1 2  36.28  23.0
2 0 2  40.71  28.8
1 1 4  48.86  50.2
2 1 2  52.15  28.7
3 0 0  55.47  19.4
3 0 4  68.34  12.6
4 -2 4  77.02  12.8

Cell: 5.7379 5.7379 9.8088 Å, 90.00 90.00 120.00°
Space group P-31c (No. 163)
Unique sites:
Nd  0.0000  0.0000  0.0000 x2
Er  0.3333  0.6667  0.2500 x2
Pu  0.3333  0.6667  0.7500 x2
O  0.0227  0.3636  0.6374 x12


Starting from a DFT-relaxed cell (GGA-PBE, Alexandria), the X-ray powder pattern of Dy9ErTh2 was simulated for Cu Kα (weighted mean of Kα1 and Kα2).
Kinematic intensities with the Lorentz-polarization factor, no thermal factor.

Most intense lines, 15° ≤ 2θ ≤ 90°, by angle:
index  2θ (°)  I (rel.)
1 1 1  30.25  22.9
2 2 0  31.63  100.0
2 1 1  35.48  11.0
3 0 1  37.86  12.9
4 0 1  45.34  10.2
4 1 1  50.13  11.2
6 0 0  56.33  24.3
2 2 2  62.92  20.5
4 4 0  66.05  8.4
6 0 2  80.90  9.7

Cell: 11.3163 11.3163 3.4636 Å, 90.00 90.00 120.00°
Space group P6/mmm (No. 191)
Unique sites:
Dy  0.0000  0.5000  0.0000 x3
Dy  0.1729  0.3458  0.5000 x6
Er  0.0000  0.0000  0.0000 x1
Th  0.3333  0.6667  0.0000 x2